The following is a calculated powder diffractogram of ZnNiPt. It was derived from a crystal structure in Alexandria, relaxed with GGA-PBE, using λ = 1.5418 Å (Cu Kα).
No peak broadening, texture or thermal motion is included.

The 12 most intense peaks (2θ = 15–90°), low angle first:
2θ 25.39, intensity 24, hkl 1 0 1; 2θ 32.11, intensity 13, hkl 0 1 0; 2θ 32.50, intensity 13, hkl 1 0 -2; 2θ 41.37, intensity 100, hkl 1 1 1; 2θ 41.57, intensity 48, hkl 2 0 -1; 2θ 41.80, intensity 48, hkl 0 0 3; 2θ 46.33, intensity 71, hkl 1 1 -2; 2θ 52.14, intensity 25, hkl 2 0 2; 2θ 72.13, intensity 19, hkl 3 1 0; 2θ 72.45, intensity 18, hkl 1 1 4; 2θ 82.16, intensity 13, hkl 2 2 -1; 2θ 82.32, intensity 13, hkl 0 2 3

a b c (Å): 4.4727 2.7877 6.5165
angles (deg): 90.00 95.76 90.00
Space group Pm (No. 6)
Unique sites:
1 Zn 0.0000 0.0000 0.0000 (multiplicity 1)
2 Zn 0.3453 0.0000 0.6722 (multiplicity 1)
3 Ni 0.5091 0.5000 0.9999 (multiplicity 1)
4 Ni 0.6914 0.0000 0.3158 (multiplicity 1)
5 Pt 0.2001 0.5000 0.3249 (multiplicity 1)
6 Pt 0.8379 0.5000 0.6638 (multiplicity 1)